1.
This entry pairs a crystal structure of Cs4DyBr6 with its simulated PXRD pattern. Radiation: Cu Kα X-rays. Structure: a crystal structure in Alexandria, relaxed with GGA-PBE.
Neutral-atom scattering factors, no anomalous dispersion.

Largest 12 diffraction maxima, low angle first, 10 to 80 degrees two-theta:
- d 7.359, intensity 78
- d 7.189, intensity 20
- d 3.679, intensity 18
- d 3.460, intensity 100
- d 3.356, intensity 20
- d 3.215, intensity 55
- d 2.981, intensity 22
- d 2.666, intensity 32
- d 2.466, intensity 26
- d 2.052, intensity 29
- d 1.810, intensity 20
- d 1.656, intensity 22

Structure:
```
data_Cs4DyBr6
_chemical_formula_sum 'Cs8 Dy2 Br12'
_space_group_name_H-M_alt 'P 1'
_space_group_IT_number 1
_cell_length_a 10.167
_cell_length_b 10.167
_cell_length_c 10.665
_cell_angle_alpha 90.00
_cell_angle_beta 90.00
_cell_angle_gamma 90.00
loop_
_space_group_symop_operation_xyz
'x,y,z'
loop_
_atom_site_label
_atom_site_type_symbol
_atom_site_fract_x
_atom_site_fract_y
_atom_site_fract_z
Cs1 Cs 0.182 0.318 0.250
Cs2 Cs 0.182 0.318 0.750
Cs3 Cs 0.318 0.818 0.250
Cs4 Cs 0.318 0.818 0.750
Cs5 Cs 0.682 0.182 0.250
Cs6 Cs 0.682 0.182 0.750
Cs7 Cs 0.818 0.682 0.250
Cs8 Cs 0.818 0.682 0.750
Dy1 Dy 0.000 0.000 0.000
Dy2 Dy 0.500 0.500 0.500
Br1 Br 0.000 0.000 0.268
Br2 Br 0.000 0.000 0.732
Br3 Br 0.075 0.727 0.000
Br4 Br 0.227 0.575 0.500
Br5 Br 0.273 0.075 0.000
Br6 Br 0.425 0.227 0.500
Br7 Br 0.500 0.500 0.232
Br8 Br 0.500 0.500 0.768
Br9 Br 0.575 0.773 0.500
Br10 Br 0.727 0.925 0.000
Br11 Br 0.773 0.425 0.500
Br12 Br 0.925 0.273 0.000
```

---

2.
This entry pairs a crystal structure of Tb2SmDy6Y2 with its simulated PXRD pattern. Radiation: Cu Kα X-rays. Structure: a crystal structure in Alexandria, relaxed with GGA-PBE.
Neutral-atom scattering factors, no anomalous dispersion.

Largest 12 diffraction maxima, low angle first, 10 to 80 degrees two-theta:
- d 3.126, intensity 8
- d 3.038, intensity 8
- d 2.898, intensity 41
- d 2.831, intensity 37
- d 2.782, intensity 100
- d 2.639, intensity 15
- d 2.023, intensity 10
- d 1.930, intensity 12
- d 1.728, intensity 10
- d 1.625, intensity 21
- d 1.490, intensity 13
- d 1.475, intensity 12

Structure:
```
data_Tb2SmDy6Y2
_chemical_formula_sum 'Tb2 Sm1 Dy6 Y2'
_space_group_name_H-M_alt 'P 1'
_space_group_IT_number 1
_cell_length_a 6.650
_cell_length_b 6.650
_cell_length_c 10.557
_cell_angle_alpha 90.03
_cell_angle_beta 90.03
_cell_angle_gamma 129.61
loop_
_space_group_symop_operation_xyz
'x,y,z'
loop_
_atom_site_label
_atom_site_type_symbol
_atom_site_fract_x
_atom_site_fract_y
_atom_site_fract_z
Tb1 Tb 0.204 0.796 0.000
Tb2 Tb 0.796 0.204 0.000
Sm1 Sm 0.500 0.500 0.000
Dy1 Dy 0.001 0.001 0.790
Dy2 Dy 0.347 0.651 0.294
Dy3 Dy 0.349 0.653 0.706
Dy4 Dy 0.651 0.347 0.294
Dy5 Dy 0.653 0.349 0.706
Dy6 Dy 0.999 0.999 0.210
Y1 Y 0.136 0.864 0.500
Y2 Y 0.864 0.136 0.500
```

---

> Which formula does entry 2 have?

Tb2SmDy6Y2